This entry pairs a crystal structure of AcPm2S4 with its theoretical X-ray diffraction stick pattern. Radiation: copper Kα. Structure: a structure optimized by DFT (GGA-PBE).
Intensities are scaled so that the largest is 100.

The 8 most intense peaks (5 to 70 degrees two-theta), low angle first:
d 3.756, intensity 100.0, hkl 0 2 3
d 3.736, intensity 35.6, hkl 1 1 1
d 3.374, intensity 37.2, hkl 1 1 2
d 3.350, intensity 27.7, hkl 0 4 0
d 2.933, intensity 46.7, hkl 1 3 1
d 2.748, intensity 52.5, hkl 1 3 2
d 2.229, intensity 34.2, hkl 1 1 5
d 2.004, intensity 29.9, hkl 0 6 3

Structure:
```
data_AcPm2S4
_symmetry_space_group_name_H-M 'C m c m'
_symmetry_Int_Tables_number 63
_symmetry_space_group_name_Hall '-C 2c 2'
_cell_length_a 4.060
_cell_length_b 13.399
_cell_length_c 13.610
_cell_angle_alpha 90.00
_cell_angle_beta 90.00
_cell_angle_gamma 90.00
loop_
_atom_site_label
_atom_site_fract_x
_atom_site_fract_y
_atom_site_fract_z
Ac1 0.000 0.121 0.250
Pm1 0.000 0.371 0.065
S1 0.000 0.000 0.000
S2 0.000 0.272 0.620
S3 0.000 0.460 0.250
```